1.
Diffraction record for CaSmAg6. The X-ray diffraction stick pattern is calculated, not measured: it uses DFT lattice parameters and positions (PBE) and a wavelength of 1.5418 Å.
No peak broadening, texture or thermal motion is included.

Atomic structure:
```
CaSmAg6
1.0
5.538 0.000 0.000
0.000 5.538 0.000
0.000 0.000 5.538
Ca Sm Ag
1 1 6
direct
0.000 0.000 0.000
0.500 0.500 0.500
0.000 0.249 0.500
0.000 0.751 0.500
0.249 0.500 0.000
0.500 0.000 0.249
0.500 0.000 0.751
0.751 0.500 0.000
```

Peak list (8 most intense, 10° ≤ 2θ ≤ 80°, low angle first)
| 2theta | I (rel.) |
| --- | --- |
| 16.00 | 95 |
| 32.33 | 278 |
| 36.27 | 1000 |
| 39.87 | 619 |
| 60.25 | 215 |
| 62.78 | 309 |
| 67.67 | 131 |
| 79.27 | 190 |



2.
Diffraction record for Y4ZrW. The X-ray diffraction stick pattern is calculated, not measured: it uses DFT lattice parameters and positions (PBE) and a wavelength of 1.5418 Å.
No peak broadening, texture or thermal motion is included.

Atomic structure:
```
Y4ZrW
1.0
0.000 4.287 4.287
4.287 0.000 4.287
4.287 4.287 0.000
Y Zr W
4 1 1
direct
0.376 0.376 0.376
0.376 0.376 0.873
0.376 0.873 0.376
0.873 0.376 0.376
0.000 0.000 0.000
0.750 0.750 0.750
```

Peak list (8 most intense, 10° ≤ 2θ ≤ 80°, low angle first)
| 2theta | I (rel.) |
| --- | --- |
| 29.47 | 400 |
| 34.70 | 1000 |
| 36.30 | 283 |
| 52.27 | 162 |
| 55.71 | 337 |
| 61.15 | 264 |
| 72.26 | 115 |
| 73.23 | 103 |



3.
Diffraction record for Cr2Ni6Ir. The X-ray diffraction stick pattern is calculated, not measured: it uses DFT lattice parameters and positions (PBE) and a wavelength of 1.5418 Å.
No peak broadening, texture or thermal motion is included.

Atomic structure:
```
Cr2Ni6Ir
1.0
0.000 5.359 5.367
1.786 0.000 5.367
1.786 5.359 0.000
Cr Ni Ir
2 6 1
direct
0.169 0.169 0.831
0.831 0.831 0.169
0.166 0.495 0.505
0.169 0.831 0.169
0.495 0.166 0.834
0.505 0.834 0.166
0.831 0.169 0.831
0.834 0.505 0.495
0.500 0.500 0.500
```

Peak list (8 most intense, 10° ≤ 2θ ≤ 80°, low angle first)
| 2theta | I (rel.) |
| --- | --- |
| 16.53 | 157 |
| 23.46 | 91 |
| 27.61 | 138 |
| 36.54 | 107 |
| 43.87 | 1000 |
| 51.09 | 312 |
| 51.15 | 156 |
| 75.19 | 276 |



4.
Diffraction record for Al7Rh3. The X-ray diffraction stick pattern is calculated, not measured: it uses DFT lattice parameters and positions (PBE) and a wavelength of 1.5418 Å.
No peak broadening, texture or thermal motion is included.

Atomic structure:
```
Al7Rh3
1.0
2.851 0.000 0.000
0.000 3.742 0.000
0.000 0.000 14.279
Al Rh
7 3
direct
0.000 0.000 0.000
0.000 0.000 0.195
0.000 0.000 0.407
0.000 0.000 0.627
0.500 0.500 0.304
0.500 0.500 0.522
0.500 0.500 0.744
0.000 0.000 0.803
0.500 0.500 0.123
0.500 0.500 0.927
```

Peak list (8 most intense, 10° ≤ 2θ ≤ 80°, low angle first)
| 2theta | I (rel.) |
| --- | --- |
| 24.60 | 161 |
| 26.90 | 98 |
| 39.73 | 1000 |
| 40.27 | 122 |
| 44.93 | 319 |
| 48.67 | 150 |
| 68.38 | 178 |
| 79.34 | 182 |



5.
Diffraction record for AlSiW2. The X-ray diffraction stick pattern is calculated, not measured: it uses DFT lattice parameters and positions (PBE) and a wavelength of 1.5418 Å.
No peak broadening, texture or thermal motion is included.

Atomic structure:
```
AlSiW2
1.0
2.769 0.000 0.000
0.000 4.158 0.000
-0.938 0.000 5.218
Al Si W
1 1 2
direct
0.000 0.000 0.000
0.500 0.000 0.500
0.276 0.500 0.749
0.724 0.500 0.251
```

Peak list (8 most intense, 10° ≤ 2θ ≤ 80°, low angle first)
| 2theta | I (rel.) |
| --- | --- |
| 21.37 | 700 |
| 34.35 | 429 |
| 39.94 | 263 |
| 40.81 | 1000 |
| 43.54 | 216 |
| 45.74 | 194 |
| 56.59 | 212 |
| 73.12 | 174 |



6.
Diffraction record for TbTh2MnN5. The X-ray diffraction stick pattern is calculated, not measured: it uses DFT lattice parameters and positions (PBE) and a wavelength of 1.5418 Å.
No peak broadening, texture or thermal motion is included.

Atomic structure:
```
TbTh2MnN5
1.0
6.718 0.000 0.000
0.000 6.718 0.000
0.000 0.000 5.705
Tb Th Mn N
2 4 2 10
direct
0.000 0.000 0.000
0.500 0.500 0.000
0.171 0.329 0.500
0.329 0.829 0.500
0.671 0.171 0.500
0.829 0.671 0.500
0.000 0.500 0.000
0.500 0.000 0.000
0.000 0.000 0.500
0.141 0.641 0.226
0.141 0.641 0.774
0.359 0.141 0.226
0.359 0.141 0.774
0.500 0.500 0.500
0.641 0.859 0.226
0.641 0.859 0.774
0.859 0.359 0.226
0.859 0.359 0.774
```

Peak list (8 most intense, 10° ≤ 2θ ≤ 80°, low angle first)
| 2theta | I (rel.) |
| --- | --- |
| 15.53 | 355 |
| 24.38 | 314 |
| 29.74 | 462 |
| 30.89 | 1000 |
| 31.36 | 478 |
| 33.72 | 926 |
| 42.56 | 277 |
| 43.76 | 541 |